The following is a simulated powder diffractogram of FePH6NO5. It was derived from a GGA+U-relaxed structure, using λ = 1.5418 Å (Cu Kα).

Largest 10 diffraction maxima, by intensity, 2θ = 10–90°:
two_theta  Rel. int.  index
31.30  100.0  0 2 0
20.81  23.7  2 0 1
26.04  19.6  2 1 1
38.67  16.4  6 1 1
18.38  15.4  2 1 0
55.67  10.6  4 3 1
41.80  9.0  4 2 1
50.36  8.8  2 2 2
37.85  8.1  2 2 1
37.08  8.0  0 0 2

Atomic structure:
Cell lengths 17.981, 5.723, 4.849 Å; angles 90.00, 90.00, 90.00 degrees
Space group Pna2_1 (No. 33)
Unique sites:
1 Fe 0.012 0.247 0.000 x4
2 P 0.098 0.744 0.935 x4
3 H 0.095 0.365 0.455 x4
4 H 0.099 0.094 0.405 x4
5 H 0.200 0.353 0.891 x4
6 H 0.213 0.059 0.885 x4
7 H 0.226 0.736 0.559 x4
8 H 0.229 0.739 0.202 x4
9 N 0.239 0.223 0.884 x4
10 O 0.056 0.950 0.784 x4
11 O 0.066 0.516 0.795 x4
12 O 0.083 0.749 0.245 x4
13 O 0.104 0.246 0.312 x4
14 O 0.183 0.760 0.882 x4